Record 1
This entry pairs a crystal structure of BaGaSbH with its calculated powder XRD pattern. Radiation: Cu Kα X-rays. Structure: DFT lattice parameters and positions (GGA-PBE).

Structural model:
```
data_BaGaSbH
_symmetry_space_group_name_H-M 'C 1 m 1'
_symmetry_Int_Tables_number 8
_symmetry_space_group_name_Hall 'C -2y'
_cell_length_a 9.009
_cell_length_b 4.459
_cell_length_c 5.056
_cell_angle_alpha 90.00
_cell_angle_beta 93.16
_cell_angle_gamma 90.00
loop_
_atom_site_label
_atom_site_fract_x
_atom_site_fract_y
_atom_site_fract_z
_atom_site_occupancy
Ba1 0.000 0.000 0.000 1
Ga1 0.347 0.000 0.460 1
Sb1 0.169 0.500 0.533 1
H1 0.337 0.000 0.114 1
```

Peak list (10 most intense, 10° ≤ 2θ ≤ 80°, by angle)
2θ/deg  I/Imax
25.8  29
27.3  50
28.1  100
28.8  50
35.6  34
36.1  75
40.5  27
50.3  24
52.8  23
55.0  20

---

Record 2
This entry pairs a crystal structure of Ac2Pr3Sm3 with its calculated powder XRD pattern. Radiation: Cu Kα X-rays. Structure: DFT lattice parameters and positions (GGA-PBE).

Structural model:
```
data_Ac2Pr3Sm3
_symmetry_space_group_name_H-M 'I m m m'
_symmetry_Int_Tables_number 71
_symmetry_space_group_name_Hall '-I 2 2'
_cell_length_a 5.324
_cell_length_b 5.336
_cell_length_c 21.009
_cell_angle_alpha 90.00
_cell_angle_beta 90.00
_cell_angle_gamma 90.00
loop_
_atom_site_label
_atom_site_fract_x
_atom_site_fract_y
_atom_site_fract_z
_atom_site_occupancy
Ac1 0.000 0.000 0.250 1
Pr1 0.000 0.000 0.000 1
Pr2 0.000 0.500 0.120 1
Sm1 0.000 0.000 0.500 1
Sm2 0.000 0.500 0.380 1
```

Peak list (10 most intense, 10° ≤ 2θ ≤ 80°, by angle)
2θ/deg  I/Imax
29.2  100
33.6  35
34.1  16
48.3  13
48.7  24
57.4  15
57.5  15
58.1  14
60.5  13
78.8  11

---

Record 3
This entry pairs a crystal structure of PaNbFe2H6 with its calculated powder XRD pattern. Radiation: Cu Kα X-rays. Structure: DFT lattice parameters and positions (GGA-PBE).

Structural model:
```
data_PaNbFe2H6
_symmetry_space_group_name_H-M 'R -3 m'
_symmetry_Int_Tables_number 166
_symmetry_space_group_name_Hall '-R 3 2"'
_cell_length_a 4.3658
_cell_length_b 4.3658
_cell_length_c 15.2105
_cell_angle_alpha 90.00
_cell_angle_beta 90.00
_cell_angle_gamma 120.00
loop_
_atom_site_label
_atom_site_fract_x
_atom_site_fract_y
_atom_site_fract_z
_atom_site_occupancy
Pa1 0.0000 0.0000 0.0000 1
Nb1 0.0000 0.0000 0.5000 1
Fe1 0.0000 0.0000 0.2068 1
H1 0.0096 0.5048 0.0626 1
```

Peak list (10 most intense, 10° ≤ 2θ ≤ 80°, by angle)
2θ/deg  I/Imax
24.3  39
26.3  61
33.4  100
35.4  21
38.0  31
41.4  75
54.2  28
55.6  36
66.2  18
70.4  30